This entry pairs a crystal structure of Rb3V2SnF9 with its theoretical X-ray diffraction stick pattern. Radiation: Cu Ka. Structure: a cell relaxed with PBE+U.
Lines closer than 0.1° are merged.

Largest 12 diffraction maxima, most intense first, 10 to 80 degrees two-theta:
| h k l | 2θ (°) | d_spacing | I (rel.) |
| --- | --- | --- | --- |
| 0 1 2 | 28.4 | 3.142 | 1000 |
| 1 1 0 | 28.6 | 3.117 | 953 |
| 2 0 2 | 40.8 | 2.213 | 871 |
| 1 2 2 | 50.6 | 1.804 | 389 |
| 2 2 0 | 59.3 | 1.558 | 260 |
| 0 2 4 | 58.8 | 1.571 | 250 |
| 1 0 4 | 50.2 | 1.819 | 195 |
| 3 0 0 | 50.7 | 1.800 | 193 |
| 3 1 2 | 67.0 | 1.396 | 180 |
| 2 1 4 | 66.7 | 1.403 | 175 |
| 0 2 1 | 35.2 | 2.548 | 171 |
| 0 4 2 | 74.5 | 1.274 | 128 |

Cell and atoms:
```
data_Rb3V2SnF9
_cell_length_a 6.2339
_cell_length_b 6.2339
_cell_length_c 7.7258
_cell_angle_alpha 90.00
_cell_angle_beta 90.00
_cell_angle_gamma 120.00
_space_group_name_H-M_alt 'P -3 m 1'
_space_group_IT_number 164
_space_group_name_Hall '-P 3 2"'
loop_
_atom_site_label
_atom_site_fract_x
_atom_site_fract_y
_atom_site_fract_z
_atom_site_occupancy
Rb1 0.0000 0.0000 0.0000 1
Rb2 0.3333 0.6667 0.6792 1
V1 0.3333 0.6667 0.1535 1
Sn1 0.0000 0.0000 0.5000 1
F1 0.0000 0.5000 0.0000 1
F2 0.1750 0.3501 0.3150 1
```